[1]
# Dy2Y7Er
Theoretical PXRD pattern, λ = 1.5418 Å (Cu Kα). Input: a PBE-relaxed structure.
Peak positions follow from Bragg's law for the DFT cell and can differ from measured ones.

```
10
Lattice="3.085 -14.849 0.000 3.085 14.849 0.000 -0.019 0.000 3.503" Properties=species:S:1:pos:R:3 pbc="T T T"
Dy 3.085 9.154 0.000
Dy 3.085 -9.154 0.000
Y 1.553 2.968 2.568
Y 3.075 6.155 1.752
Y 1.553 -2.968 2.568
Y 3.085 0.000 0.000
Y 4.597 2.968 0.936
Y 3.075 -6.155 1.752
Y 4.597 -2.968 0.936
Er -0.010 0.000 1.752
```

Peak list (12 most intense, 10 to 90 degrees two-theta, in order of rising 2θ)
2θ = 20.76°, I = 19; 2θ = 29.40°, I = 27; 2θ = 30.09°, I = 97; 2θ = 30.64°, I = 54; 2θ = 30.77°, I = 100; 2θ = 31.40°, I = 69; 2θ = 32.98°, I = 47; 2θ = 34.25°, I = 68; 2θ = 36.27°, I = 38; 2θ = 36.36°, I = 53; 2θ = 49.91°, I = 36; 2θ = 52.27°, I = 25

=====

[2]
# LiCaAg6
Theoretical PXRD pattern, λ = 1.5418 Å (Cu Kα). Input: a PBE-relaxed structure.
Peak positions follow from Bragg's law for the DFT cell and can differ from measured ones.

```
8
Lattice="4.826 0.000 0.000 0.000 6.364 0.000 0.000 0.000 5.015" Properties=species:S:1:pos:R:3 pbc="T T T"
Li 0.000 0.000 0.000
Ca 2.413 3.182 3.212
Ag 0.000 1.428 2.539
Ag 0.000 3.182 0.253
Ag 0.000 4.936 2.539
Ag 2.413 0.000 3.253
Ag 2.413 1.451 0.715
Ag 2.413 4.913 0.715
```

Peak list (12 most intense, 10 to 90 degrees two-theta, in order of rising 2θ)
2θ = 22.57°, I = 14; 2θ = 23.13°, I = 13; 2θ = 25.62°, I = 9; 2θ = 33.35°, I = 13; 2θ = 35.81°, I = 19; 2θ = 37.27°, I = 34; 2θ = 38.34°, I = 100; 2θ = 40.55°, I = 25; 2θ = 52.64°, I = 12; 2θ = 62.79°, I = 10; 2θ = 67.92°, I = 17; 2θ = 75.34°, I = 12

=====

[3]
# Ca7As3N2
Theoretical PXRD pattern, λ = 1.5418 Å (Cu Kα). Input: a PBE-relaxed structure.
Peak positions follow from Bragg's law for the DFT cell and can differ from measured ones.

```
12
Lattice="2.394 -12.155 0.000 2.394 12.155 0.000 0.000 0.000 4.642" Properties=species:S:1:pos:R:3 pbc="T T T"
Ca 0.000 0.000 0.000
Ca 2.394 9.754 2.321
Ca 2.394 7.350 0.000
Ca 2.394 2.409 0.000
Ca 2.394 -2.409 0.000
Ca 2.394 -7.350 0.000
Ca 2.394 -9.754 2.321
As 2.394 4.509 2.321
As 2.394 0.000 2.321
As 2.394 -4.509 2.321
N 2.394 9.736 0.000
N 2.394 -9.736 0.000
```

Peak list (12 most intense, 10 to 90 degrees two-theta, in order of rising 2θ)
2θ = 27.00°, I = 6; 2θ = 32.57°, I = 100; 2θ = 36.98°, I = 18; 2θ = 37.57°, I = 22; 2θ = 38.80°, I = 20; 2θ = 53.74°, I = 11; 2θ = 54.67°, I = 11; 2θ = 55.11°, I = 13; 2θ = 63.87°, I = 8; 2θ = 64.66°, I = 13; 2θ = 66.33°, I = 12; 2θ = 68.23°, I = 10

=====

[4]
# Li6CuB4O10
Theoretical PXRD pattern, λ = 1.5418 Å (Cu Kα). Input: a PBE-relaxed structure.
Peak positions follow from Bragg's law for the DFT cell and can differ from measured ones.

```
21
Lattice="3.377 0.000 0.000 0.636 6.785 0.000 0.132 1.900 9.173" Properties=species:S:1:pos:R:3 pbc="T T T"
Li 0.306 3.050 3.448
Li 0.542 3.276 8.901
Li 1.929 3.807 1.340
Li 2.216 4.878 7.832
Li 3.603 5.409 0.271
Li 3.839 5.634 5.725
Cu 1.754 0.950 4.586
B 0.699 2.883 6.526
B 1.904 7.337 7.469
B 2.241 1.348 1.704
B 3.446 5.802 2.647
O 0.501 4.140 7.040
O 0.760 1.868 7.552
O 0.858 2.572 5.222
O 2.056 6.681 8.661
O 2.170 6.718 6.276
O 1.974 1.967 2.897
O 2.088 2.004 0.511
O 3.287 6.113 3.951
O 3.384 6.816 1.621
O 3.644 4.545 2.132
```

Peak list (12 most intense, 10 to 90 degrees two-theta, in order of rising 2θ)
2θ = 13.33°, I = 84; 2θ = 14.79°, I = 37; 2θ = 18.00°, I = 30; 2θ = 25.74°, I = 15; 2θ = 26.62°, I = 12; 2θ = 28.31°, I = 34; 2θ = 28.63°, I = 25; 2θ = 29.41°, I = 100; 2θ = 29.58°, I = 18; 2θ = 31.54°, I = 14; 2θ = 32.96°, I = 13; 2θ = 44.14°, I = 25

=====

[5]
# CePa2P
Theoretical PXRD pattern, λ = 1.5418 Å (Cu Kα). Input: a PBE-relaxed structure.
Peak positions follow from Bragg's law for the DFT cell and can differ from measured ones.

```
4
Lattice="4.392 0.000 0.000 0.000 4.392 0.000 0.000 0.000 4.452" Properties=species:S:1:pos:R:3 pbc="T T T"
Ce 0.000 0.000 0.000
Pa 0.000 2.196 2.226
Pa 2.196 0.000 2.226
P 2.196 2.196 0.000
```

Peak list (12 most intense, 10 to 90 degrees two-theta, in order of rising 2θ)
2θ = 19.94°, I = 20; 2θ = 28.74°, I = 17; 2θ = 35.23°, I = 100; 2θ = 40.52°, I = 17; 2θ = 41.10°, I = 33; 2θ = 46.09°, I = 10; 2θ = 50.44°, I = 8; 2θ = 59.09°, I = 23; 2θ = 59.53°, I = 11; 2θ = 70.30°, I = 14; 2θ = 71.10°, I = 27; 2θ = 74.50°, I = 12

=====

[6]
# Tb2Dy2YTm
Theoretical PXRD pattern, λ = 1.5418 Å (Cu Kα). Input: a PBE-relaxed structure.
Peak positions follow from Bragg's law for the DFT cell and can differ from measured ones.

```
12
Lattice="6.991 0.000 0.000 0.000 5.596 0.000 0.000 0.000 9.651" Properties=species:S:1:pos:R:3 pbc="T T T"
Tb 1.748 0.000 1.532
Tb 1.748 2.798 6.499
Tb 5.244 0.000 8.119
Tb 5.244 2.798 3.152
Dy 0.000 2.798 0.000
Dy 1.748 0.000 7.968
Dy 3.496 2.798 0.000
Dy 5.244 0.000 1.682
Y 0.000 0.000 4.825
Y 3.496 0.000 4.825
Tm 1.748 2.798 3.272
Tm 5.244 2.798 6.379
```

Peak list (12 most intense, 10 to 90 degrees two-theta, in order of rising 2θ)
2θ = 25.48°, I = 13; 2θ = 31.58°, I = 100; 2θ = 31.99°, I = 39; 2θ = 32.09°, I = 77; 2θ = 41.39°, I = 22; 2θ = 45.59°, I = 24; 2θ = 45.69°, I = 12; 2θ = 56.75°, I = 13; 2θ = 56.89°, I = 25; 2θ = 57.08°, I = 15; 2θ = 62.71°, I = 34; 2θ = 81.12°, I = 11

=====

[7]
# K8Br5Cl3
Theoretical PXRD pattern, λ = 1.5418 Å (Cu Kα). Input: a PBE-relaxed structure.
Peak positions follow from Bragg's law for the DFT cell and can differ from measured ones.

```
16
Lattice="4.636 2.677 7.650 -4.636 2.677 7.650 0.000 -5.353 7.650" Properties=species:S:1:pos:R:3 pbc="T T T"
K -2.356 -1.361 13.321
K 0.000 0.000 5.639
K 0.000 -2.721 9.629
K -2.357 1.361 9.629
K 2.357 -1.361 13.321
K 0.000 2.721 13.321
K 0.000 0.000 17.311
K 2.357 1.361 9.629
Br 0.000 0.000 0.000
Br -2.318 -1.338 7.650
Br -2.318 1.338 15.300
Br 0.000 2.677 7.650
Br 0.000 0.000 11.475
Cl -4.636 0.000 11.475
Cl -2.318 1.338 3.825
Cl 2.318 1.338 3.825
```

Peak list (12 most intense, 10 to 90 degrees two-theta, in order of rising 2θ)
2θ = 23.48°, I = 7; 2θ = 27.11°, I = 100; 2θ = 38.57°, I = 36; 2θ = 38.85°, I = 36; 2θ = 47.54°, I = 6; 2θ = 48.02°, I = 19; 2θ = 55.90°, I = 11; 2θ = 63.01°, I = 15; 2θ = 63.40°, I = 15; 2θ = 70.16°, I = 11; 2θ = 89.35°, I = 6; 2θ = 89.70°, I = 6

=====

[8]
# FeCo6Ni3
Theoretical PXRD pattern, λ = 1.5418 Å (Cu Kα). Input: a PBE-relaxed structure.
Peak positions follow from Bragg's law for the DFT cell and can differ from measured ones.

```
20
Lattice="3.530 2.038 5.367 -3.530 2.038 5.367 0.000 -4.076 5.367" Properties=species:S:1:pos:R:3 pbc="T T T"
Fe 0.000 0.000 0.000
Fe 0.000 0.000 8.050
Co 0.000 -2.695 3.595
Co -2.334 1.348 3.595
Co 0.000 -1.530 5.841
Co -1.325 0.765 5.841
Co -2.334 -1.348 12.506
Co -1.325 -0.765 10.260
Co 1.325 0.765 5.841
Co 2.334 1.348 3.595
Co 1.325 -0.765 10.260
Co 0.000 1.530 10.260
Co 2.334 -1.348 12.506
Co 0.000 2.695 12.506
Ni -2.208 -1.275 6.921
Ni 0.000 -2.550 9.180
Ni -2.208 1.275 9.180
Ni 2.208 -1.275 6.921
Ni 0.000 2.550 6.921
Ni 2.208 1.275 9.180
```

Peak list (12 most intense, 10 to 90 degrees two-theta, in order of rising 2θ)
2θ = 31.31°, I = 9; 2θ = 40.67°, I = 68; 2θ = 44.46°, I = 21; 2θ = 45.25°, I = 36; 2θ = 47.57°, I = 31; 2θ = 47.74°, I = 100; 2θ = 48.49°, I = 29; 2θ = 51.80°, I = 10; 2θ = 56.72°, I = 12; 2θ = 81.88°, I = 20; 2θ = 84.13°, I = 19; 2θ = 86.93°, I = 19